[1]
Computed powder diffractogram
Compound: NaSrNbSnO6
Radiation: CuKα
Structure: a DFT-relaxed cell (PBE, the Materials Project)
Kinematic intensities with the Lorentz-polarization factor, no thermal factor.

Most intense lines, 10 to 90 degrees two-theta, low angle first:
| hkl | two_theta | I/Imax |
| --- | --- | --- |
| 2 0 0 | 21.87 | 27 |
| 2 2 0 | 31.13 | 100 |
| 4 0 0 | 44.60 | 38 |
| 4 2 2 | 55.38 | 40 |
| 4 4 0 | 64.90 | 23 |
| 6 2 0 | 73.73 | 18 |

Crystal structure
```
data_NaSrNbSnO6
_space_group_name_H-M_alt 'F -4 3 m'
_space_group_IT_number 216
_space_group_name_Hall 'F -4 2 3'
_cell_length_a 8.127
_cell_length_b 8.127
_cell_length_c 8.127
_cell_angle_alpha 90.00
_cell_angle_beta 90.00
_cell_angle_gamma 90.00
loop_
_atom_site_label
_atom_site_type_symbol
_atom_site_fract_x
_atom_site_fract_y
_atom_site_fract_z
Na1 Na 0.000 0.000 0.000
Sr1 Sr 0.000 0.000 0.500
Nb1 Nb 0.250 0.250 0.250
Sn1 Sn 0.250 0.250 0.750
O1 O 0.004 0.250 0.250
```

=====

[2]
Computed powder diffractogram
Compound: NaSr2Nb5O15
Radiation: CuKα
Structure: a DFT-relaxed cell (PBE, the Materials Project)
Kinematic intensities with the Lorentz-polarization factor, no thermal factor.

Most intense lines, 10 to 90 degrees two-theta, low angle first:
| hkl | two_theta | I/Imax |
| --- | --- | --- |
| 0 0 1 | 21.79 | 47 |
| 5 1 0 | 25.45 | 51 |
| 1 3 1 | 26.97 | 52 |
| 5 3 0 | 29.17 | 71 |
| 4 2 1 | 31.36 | 100 |
| 2 6 0 | 31.70 | 43 |

Crystal structure
```
data_NaSr2Nb5O15
_space_group_name_H-M_alt 'C m m 2'
_space_group_IT_number 35
_cell_length_a 17.843
_cell_length_b 17.860
_cell_length_c 4.079
_cell_angle_alpha 90.00
_cell_angle_beta 90.00
_cell_angle_gamma 90.00
loop_
_space_group_symop_operation_xyz
'x,y,z'
'-x,-y,z'
'-x,y,z'
'x,-y,z'
'x+1/2,y+1/2,z'
'-x+1/2,-y+1/2,z'
'-x+1/2,y+1/2,z'
'x+1/2,-y+1/2,z'
loop_
_atom_site_label
_atom_site_type_symbol
_atom_site_fract_x
_atom_site_fract_y
_atom_site_fract_z
Na1 Na 0.171 0.000 0.000
Sr1 Sr 0.000 0.327 0.991
Sr2 Sr 0.250 0.250 0.947
Nb1 Nb 0.000 0.000 0.469
Nb2 Nb 0.000 0.500 0.467
Nb3 Nb 0.106 0.182 0.454
Nb4 Nb 0.184 0.395 0.454
O1 O 0.000 0.000 0.916
O2 O 0.000 0.227 0.411
O3 O 0.000 0.500 0.918
O4 O 0.075 0.417 0.403
O5 O 0.080 0.078 0.405
O6 O 0.107 0.192 0.911
O7 O 0.148 0.287 0.398
O8 O 0.188 0.389 0.910
O9 O 0.214 0.152 0.406
O10 O 0.219 0.500 0.400
```